(1)
Structure and calculated XRD peak list of BiI3 (a crystal structure in the Materials Project, relaxed with GGA-PBE; Cu Kα X-rays).

Main lines, in order of rising 2θ (2θ = 10–90°):
11.62°, intensity 793, hkl 0 2 0; 12.77°, intensity 1000, hkl 0 1 1; 23.82°, intensity 448, hkl 1 3 1; 25.56°, intensity 250, hkl 1 0 2; 26.24°, intensity 161, hkl 1 1 2; 28.11°, intensity 390, hkl 2 2 1; 28.83°, intensity 193, hkl 2 3 0; 33.01°, intensity 375, hkl 2 1 2; 34.86°, intensity 470, hkl 2 4 1; 38.99°, intensity 301, hkl 0 3 3

Structural model:
```
data_BiI3
_chemical_formula_sum 'Bi4 I12'
_cell_length_a 7.816
_cell_length_b 15.230
_cell_length_c 7.783
_cell_angle_alpha 90.00
_cell_angle_beta 90.00
_cell_angle_gamma 90.00
_space_group_name_H-M_alt 'P n m a'
_space_group_IT_number 62
loop_
_space_group_symop_operation_xyz
'x,y,z'
'-x,-y,-z'
'-x+1/2,-y,z+1/2'
'x+1/2,y,-z+1/2'
'x+1/2,-y+1/2,-z+1/2'
'-x+1/2,y+1/2,z+1/2'
'-x,y+1/2,-z'
'x,-y+1/2,z'
loop_
_atom_site_label
_atom_site_type_symbol
_atom_site_fract_x
_atom_site_fract_y
_atom_site_fract_z
_atom_site_occupancy
Bi1 Bi 0.108 0.250 0.243 1
I1 I 0.137 0.750 0.436 1
I2 I 0.153 0.610 0.899 1
```

(2)
Structure and calculated XRD peak list of BiI3 (a crystal structure in the Materials Project, relaxed with GGA-PBE; Cu Kα X-rays).

Main lines, in order of rising 2θ (2θ = 10–90°):
10.63°, intensity 1000, hkl 1 0 0; 13.81°, intensity 171, hkl 0 1 1; 14.08°, intensity 235, hkl 1 1 -1; 23.44°, intensity 407, hkl 1 2 1; 24.94°, intensity 278, hkl 2 0 -2; 25.84°, intensity 196, hkl 2 1 -2; 27.87°, intensity 477, hkl 1 3 1; 33.20°, intensity 187, hkl 1 4 1; 35.83°, intensity 285, hkl 3 3 -1; 39.48°, intensity 175, hkl 2 1 2

Structural model:
```
data_BiI3
_chemical_formula_sum 'Bi4 I12'
_cell_length_a 9.128
_cell_length_b 13.276
_cell_length_c 8.032
_cell_angle_alpha 90.00
_cell_angle_beta 114.26
_cell_angle_gamma 90.00
_space_group_name_H-M_alt 'P 1 21/c 1'
_space_group_IT_number 14
loop_
_space_group_symop_operation_xyz
'x,y,z'
'-x,-y,-z'
'-x,y+1/2,-z+1/2'
'x,-y+1/2,z+1/2'
loop_
_atom_site_label
_atom_site_type_symbol
_atom_site_fract_x
_atom_site_fract_y
_atom_site_fract_z
_atom_site_occupancy
Bi1 Bi 0.026 0.168 0.085 1
I1 I 0.168 0.655 0.174 1
I2 I 0.220 0.529 0.716 1
I3 I 0.267 0.210 0.908 1
```

(3)
Structure and calculated XRD peak list of BiI3 (a crystal structure in the Materials Project, relaxed with GGA-PBE; Cu Kα X-rays).

Main lines, in order of rising 2θ (2θ = 10–90°):
18.90°, intensity 39, hkl 1 1 1; 21.86°, intensity 21, hkl 2 0 0; 31.11°, intensity 1000, hkl 2 2 0; 36.65°, intensity 26, hkl 3 1 1; 44.57°, intensity 186, hkl 4 0 0; 48.81°, intensity 12, hkl 3 3 1; 55.34°, intensity 391, hkl 4 2 2; 64.86°, intensity 122, hkl 4 4 0; 73.68°, intensity 169, hkl 6 2 0; 82.11°, intensity 43, hkl 4 4 4

Structural model:
```
data_BiI3
_chemical_formula_sum 'Bi4 I12'
_cell_length_a 8.132
_cell_length_b 8.132
_cell_length_c 8.132
_cell_angle_alpha 90.00
_cell_angle_beta 90.00
_cell_angle_gamma 90.00
_space_group_name_H-M_alt 'F m -3 m'
_space_group_IT_number 225
_space_group_name_Hall '-F 4 2 3'
loop_
_atom_site_label
_atom_site_type_symbol
_atom_site_fract_x
_atom_site_fract_y
_atom_site_fract_z
_atom_site_occupancy
Bi1 Bi 0.000 0.000 0.000 1
I1 I 0.000 0.000 0.500 1
I2 I 0.250 0.250 0.250 1
```

(4)
Structure and calculated XRD peak list of BiI3 (a crystal structure in the Materials Project, relaxed with GGA-PBE; Cu Kα X-rays).

Main lines, in order of rising 2θ (2θ = 10–90°):
11.50°, intensity 1000, hkl 0 0 1; 14.13°, intensity 509, hkl 0 2 0; 18.26°, intensity 295, hkl 0 2 1; 24.23°, intensity 832, hkl 0 3 1; 26.29°, intensity 296, hkl 1 2 0; 28.34°, intensity 367, hkl 1 1 1; 28.72°, intensity 527, hkl 1 1 -2; 30.82°, intensity 336, hkl 1 3 0; 30.96°, intensity 721, hkl 1 3 -1; 41.31°, intensity 321, hkl 0 3 3

Structural model:
```
data_BiI3
_chemical_formula_sum 'Bi2 I6'
_cell_length_a 4.160
_cell_length_b 12.534
_cell_length_c 7.941
_cell_angle_alpha 90.00
_cell_angle_beta 104.36
_cell_angle_gamma 90.00
_space_group_name_H-M_alt 'P 1 21/m 1'
_space_group_IT_number 11
loop_
_space_group_symop_operation_xyz
'x,y,z'
'-x,-y,-z'
'-x,y+1/2,-z'
'x,-y+1/2,z'
loop_
_atom_site_label
_atom_site_type_symbol
_atom_site_fract_x
_atom_site_fract_y
_atom_site_fract_z
_atom_site_occupancy
Bi1 Bi 0.176 0.250 0.454 1
I1 I 0.139 0.750 0.236 1
I2 I 0.361 0.589 0.711 1
```

(5)
Structure and calculated XRD peak list of BiI3 (a crystal structure in the Materials Project, relaxed with GGA-PBE; Cu Kα X-rays).

Main lines, in order of rising 2θ (2θ = 10–90°):
11.50°, intensity 404, hkl 0 0 3; 13.60°, intensity 242, hkl 1 0 1; 15.15°, intensity 177, hkl 0 1 2; 25.51°, intensity 1000, hkl 1 1 3; 32.62°, intensity 592, hkl 1 1 6; 39.86°, intensity 351, hkl 3 0 0; 42.11°, intensity 303, hkl 2 -1 9; 47.92°, intensity 167, hkl 4 -2 3; 52.42°, intensity 152, hkl 4 -2 6; 63.48°, intensity 167, hkl 3 0 12

Structural model:
```
data_BiI3
_chemical_formula_sum 'Bi6 I18'
_cell_length_a 7.8350
_cell_length_b 7.8350
_cell_length_c 23.0858
_cell_angle_alpha 90.00
_cell_angle_beta 90.00
_cell_angle_gamma 120.00
_space_group_name_H-M_alt 'R -3'
_space_group_IT_number 148
_space_group_name_Hall '-R 3'
loop_
_atom_site_label
_atom_site_type_symbol
_atom_site_fract_x
_atom_site_fract_y
_atom_site_fract_z
_atom_site_occupancy
Bi1 Bi 0.0000 0.0000 0.1668 1
I1 I 0.0026 0.3566 0.4210 1
```

(6)
Structure and calculated XRD peak list of BiI (a crystal structure in the Materials Project, relaxed with GGA-PBE; Cu Kα X-rays).

Main lines, in order of rising 2θ (2θ = 10–90°):
11.81°, intensity 583, hkl 2 0 0; 24.66°, intensity 657, hkl 2 0 -3; 26.68°, intensity 373, hkl 3 1 -1; 26.94°, intensity 1000, hkl 3 1 0; 34.32°, intensity 398, hkl 1 1 3; 36.22°, intensity 280, hkl 5 1 0; 39.24°, intensity 316, hkl 5 1 -3; 40.68°, intensity 279, hkl 3 1 3; 40.85°, intensity 258, hkl 0 2 0; 48.30°, intensity 218, hkl 2 2 -3

Structural model:
```
data_BiI
_chemical_formula_sum 'Bi8 I8'
_cell_length_a 15.616
_cell_length_b 4.418
_cell_length_c 11.040
_cell_angle_alpha 90.00
_cell_angle_beta 106.31
_cell_angle_gamma 90.00
_space_group_name_H-M_alt 'C 1 2/m 1'
_space_group_IT_number 12
loop_
_space_group_symop_operation_xyz
'x,y,z'
'-x,-y,-z'
'-x,y,-z'
'x,-y,z'
'x+1/2,y+1/2,z'
'-x+1/2,-y+1/2,-z'
'-x+1/2,y+1/2,-z'
'x+1/2,-y+1/2,z'
loop_
_atom_site_label
_atom_site_type_symbol
_atom_site_fract_x
_atom_site_fract_y
_atom_site_fract_z
_atom_site_occupancy
Bi1 Bi 0.180 0.000 0.488 1
Bi2 Bi 0.199 0.000 0.775 1
I1 I 0.051 0.500 0.719 1
I2 I 0.153 0.000 0.129 1
```

(7)
Structure and calculated XRD peak list of BiI3 (a crystal structure in the Materials Project, relaxed with GGA-PBE; Cu Kα X-rays).

Main lines, in order of rising 2θ (2θ = 10–90°):
11.17°, intensity 495, hkl 0 0 1; 13.06°, intensity 292, hkl 1 0 0; 17.22°, intensity 205, hkl 1 0 1; 25.38°, intensity 1000, hkl 1 1 1; 32.16°, intensity 627, hkl 1 1 2; 39.89°, intensity 355, hkl 3 0 0; 41.25°, intensity 334, hkl 2 -1 3; 47.87°, intensity 188, hkl 4 -2 1; 52.13°, intensity 151, hkl 4 -2 2; 62.35°, intensity 164, hkl 3 0 4

Structural model:
```
data_BiI3
_chemical_formula_sum 'Bi2 I6'
_cell_length_a 7.8292
_cell_length_b 7.8292
_cell_length_c 7.9187
_cell_angle_alpha 90.00
_cell_angle_beta 90.00
_cell_angle_gamma 120.00
_space_group_name_H-M_alt 'P -3 1 m'
_space_group_IT_number 162
_space_group_name_Hall '-P 3 2'
loop_
_atom_site_label
_atom_site_type_symbol
_atom_site_fract_x
_atom_site_fract_y
_atom_site_fract_z
_atom_site_occupancy
Bi1 Bi 0.3333 0.6667 0.0000 1
I1 I 0.0000 0.3554 0.7695 1
```

(8)
Structure and calculated XRD peak list of In2BiSe4I (a crystal structure in the Materials Project, relaxed with GGA-PBE; Cu Kα X-rays).

Main lines, in order of rising 2θ (2θ = 10–90°):
24.42°, intensity 384, hkl 1 1 2; 26.49°, intensity 307, hkl 1 0 5; 28.69°, intensity 344, hkl 2 0 5; 28.93°, intensity 1000, hkl 3 1 1; 29.19°, intensity 268, hkl 2 1 3; 30.31°, intensity 295, hkl 3 1 2; 33.52°, intensity 367, hkl 2 0 6; 43.17°, intensity 318, hkl 0 2 0; 45.99°, intensity 246, hkl 7 0 2; 46.75°, intensity 477, hkl 5 1 5

Structural model:
```
data_In2BiSe4I
_chemical_formula_sum 'In8 Bi4 Se16 I4'
_cell_length_a 14.182
_cell_length_b 4.191
_cell_length_c 17.315
_cell_angle_alpha 90.00
_cell_angle_beta 90.00
_cell_angle_gamma 90.00
_space_group_name_H-M_alt 'P n m a'
_space_group_IT_number 62
loop_
_space_group_symop_operation_xyz
'x,y,z'
'-x,-y,-z'
'-x+1/2,-y,z+1/2'
'x+1/2,y,-z+1/2'
'x+1/2,-y+1/2,-z+1/2'
'-x+1/2,y+1/2,z+1/2'
'-x,y+1/2,-z'
'x,-y+1/2,z'
loop_
_atom_site_label
_atom_site_type_symbol
_atom_site_fract_x
_atom_site_fract_y
_atom_site_fract_z
_atom_site_occupancy
In1 In 0.109 0.250 0.138 1
In2 In 0.241 0.750 0.003 1
Bi1 Bi 0.040 0.750 0.394 1
Se1 Se 0.105 0.750 0.543 1
Se2 Se 0.117 0.250 0.986 1
Se3 Se 0.175 0.250 0.364 1
Se4 Se 0.220 0.750 0.163 1
I1 I 0.055 0.750 0.777 1
```

(9)
Structure and calculated XRD peak list of Si2Bi14IrI12 (a crystal structure in the Materials Project, relaxed with GGA-PBE; Cu Kα X-rays).

Main lines, in order of rising 2θ (2θ = 10–90°):
11.83°, intensity 386, hkl 1 1 0; 11.95°, intensity 1000, hkl 1 0 2; 25.26°, intensity 436, hkl 3 0 0; 25.77°, intensity 758, hkl 0 0 6; 27.01°, intensity 930, hkl 3 1 1; 33.18°, intensity 230, hkl 3 2 3; 34.44°, intensity 563, hkl 3 1 5; 35.65°, intensity 308, hkl 1 0 8; 37.39°, intensity 293, hkl 4 1 3; 38.05°, intensity 237, hkl 4 2 0

Structural model:
```
data_Si2Bi14IrI12
_chemical_formula_sum 'Si4 Bi28 Ir2 I24'
_cell_length_a 10.576
_cell_length_b 10.576
_cell_length_c 20.744
_cell_angle_alpha 90.00
_cell_angle_beta 90.00
_cell_angle_gamma 90.00
_space_group_name_H-M_alt 'P 4/m c c'
_space_group_IT_number 124
_space_group_name_Hall '-P 4 2c'
loop_
_atom_site_label
_atom_site_type_symbol
_atom_site_fract_x
_atom_site_fract_y
_atom_site_fract_z
_atom_site_occupancy
Si1 Si 0.000 0.000 0.092 1
Bi1 Bi 0.085 0.196 0.181 1
Bi2 Bi 0.251 0.441 0.500 1
Bi3 Bi 0.500 0.500 0.130 1
Ir1 Ir 0.500 0.500 0.000 1
I1 I 0.130 0.285 0.000 1
I2 I 0.204 0.430 0.347 1
```

(10)
Structure and calculated XRD peak list of K3BiI6 (a crystal structure in the Materials Project, relaxed with GGA-PBE; Cu Kα X-rays).

Main lines, in order of rising 2θ (2θ = 10–90°):
11.92°, intensity 355, hkl 1 1 1; 13.78°, intensity 768, hkl 2 0 0; 23.98°, intensity 574, hkl 2 2 2; 27.76°, intensity 1000, hkl 4 0 0; 31.11°, intensity 430, hkl 4 2 0; 39.66°, intensity 745, hkl 4 4 0; 42.18°, intensity 235, hkl 6 0 0; 46.88°, intensity 250, hkl 6 2 2; 49.10°, intensity 261, hkl 4 4 4; 64.88°, intensity 324, hkl 8 4 0

Structural model:
```
data_K3BiI6
_chemical_formula_sum 'K12 Bi4 I24'
_cell_length_a 12.855
_cell_length_b 12.855
_cell_length_c 12.855
_cell_angle_alpha 90.00
_cell_angle_beta 90.00
_cell_angle_gamma 90.00
_space_group_name_H-M_alt 'F m -3 m'
_space_group_IT_number 225
_space_group_name_Hall '-F 4 2 3'
loop_
_atom_site_label
_atom_site_type_symbol
_atom_site_fract_x
_atom_site_fract_y
_atom_site_fract_z
_atom_site_occupancy
K1 K 0.000 0.000 0.000 1
K2 K 0.250 0.250 0.250 1
Bi1 Bi 0.000 0.000 0.500 1
I1 I 0.000 0.000 0.261 1
```